Starting from a GGA+U-relaxed structure, the PXRD pattern of Mn5F8 was calculated for Cu Kα (weighted mean of Kα1 and Kα2).
Neutral-atom scattering factors, no anomalous dispersion.

Main lines, in order of falling intensity (10° ≤ 2θ ≤ 90°):
2θ = 30.62°, d = 2.919 Å, rel. 100; 2θ = 18.26°, d = 4.860 Å, rel. 80; 2θ = 54.97°, d = 1.670 Å, rel. 63; 2θ = 31.05°, d = 2.880 Å, rel. 58; 2θ = 35.65°, d = 2.519 Å, rel. 53; 2θ = 31.38°, d = 2.850 Å, rel. 53; 2θ = 23.61°, d = 3.768 Å, rel. 43; 2θ = 24.30°, d = 3.663 Å, rel. 43

Cell: 5.9249 5.9249 7.4327 Å, 121.24 121.24 69.72°
Sites, in units of the cell vectors:
Mn1 0.0000 0.0000 0.0000
Mn2 0.2471 0.7529 0.5000
Mn3 0.3503 0.3503 0.9905
Mn4 0.6497 0.6497 0.0095
Mn5 0.7529 0.2471 0.5000
F1 0.1292 0.7284 0.1588
F2 0.1771 0.1771 0.6138
F3 0.2716 0.8708 0.8412
F4 0.3153 0.3153 0.3045
F5 0.6847 0.6847 0.6955
F6 0.7284 0.1292 0.1588
F7 0.8229 0.8229 0.3862
F8 0.8708 0.2716 0.8412